Starting from the PBE geometry in Alexandria, the powder X-ray diffraction pattern of La5Pr2SmTl was computed for Cu Kα, 1.54184 Å.

Top 12 peaks for 2θ = 5–70°, low angle first:
| d/Å | Position (°2θ) | I_rel |
| --- | --- | --- |
| 3.438 | 25.9 | 6 |
| 3.237 | 27.6 | 7 |
| 3.082 | 29.0 | 18 |
| 2.848 | 31.4 | 100 |
| 2.793 | 32.0 | 13 |
| 2.029 | 44.7 | 5 |
| 1.996 | 45.4 | 10 |
| 1.864 | 48.9 | 7 |
| 1.654 | 55.6 | 5 |
| 1.646 | 55.9 | 15 |
| 1.588 | 58.1 | 6 |
| 1.560 | 59.2 | 8 |

```
La5Pr2SmTl
1.0
2.8531 -10.1471 0.0000
2.8531 10.1471 0.0000
0.0000 0.0000 11.1712
La Pr Sm Tl
10 4 2 2
Direct
0.9999 0.0001 0.0000
0.0001 0.9999 0.5000
0.1213 0.8787 0.7507
0.2100 0.7900 0.4510
0.2119 0.7881 0.0528
0.4895 0.5105 0.7509
0.5105 0.4895 0.2509
0.7881 0.2119 0.5528
0.7900 0.2100 0.9510
0.8787 0.1213 0.2507
0.3819 0.6181 0.4543
0.3832 0.6168 0.0476
0.6168 0.3832 0.5476
0.6181 0.3819 0.9543
0.3075 0.6925 0.7519
0.6925 0.3075 0.2519
0.0921 0.9079 0.2493
0.9079 0.0921 0.7493
```

Starting from the PBE geometry in Alexandria, the powder X-ray diffraction pattern of Sr2Cu2GeO6 was computed for Cu Kα, 1.54184 Å.

Top 12 peaks for 2θ = 5–70°, low angle first:
| d/Å | Position (°2θ) | I_rel |
| --- | --- | --- |
| 3.056 | 29.2 | 5 |
| 2.877 | 31.1 | 100 |
| 2.629 | 34.1 | 71 |
| 2.579 | 34.8 | 9 |
| 2.372 | 37.9 | 6 |
| 2.095 | 43.2 | 12 |
| 1.941 | 46.8 | 29 |
| 1.920 | 47.3 | 4 |
| 1.661 | 55.3 | 19 |
| 1.609 | 57.3 | 38 |
| 1.477 | 62.9 | 17 |
| 1.439 | 64.8 | 18 |

```
Sr2Cu2GeO6
1.0
2.8774 1.6612 5.1578
-2.8774 1.6612 5.1578
0.0000 -3.3225 5.1578
Sr Cu Ge O
2 2 1 6
Direct
0.2165 0.2165 0.2165
0.7835 0.7835 0.7835
0.4120 0.4120 0.4120
0.5880 0.5880 0.5880
0.0000 0.0000 0.0000
0.2155 0.7719 0.7719
0.2281 0.2281 0.7845
0.2281 0.7845 0.2281
0.7719 0.2155 0.7719
0.7719 0.7719 0.2155
0.7845 0.2281 0.2281
```

Starting from the PBE geometry in Alexandria, the powder X-ray diffraction pattern of Ba3Cd4Au2 was computed for Cu Kα, 1.54184 Å.

Top 12 peaks for 2θ = 5–70°, low angle first:
| d/Å | Position (°2θ) | I_rel |
| --- | --- | --- |
| 4.393 | 20.2 | 24 |
| 3.123 | 28.6 | 33 |
| 3.095 | 28.8 | 100 |
| 3.081 | 29.0 | 67 |
| 2.527 | 35.5 | 88 |
| 2.500 | 35.9 | 44 |
| 2.197 | 41.1 | 39 |
| 1.952 | 46.5 | 17 |
| 1.943 | 46.7 | 17 |
| 1.666 | 55.1 | 24 |
| 1.650 | 55.7 | 46 |
| 1.534 | 60.3 | 16 |

```
Ba3Cd4Au2
1.0
6.2468 -2.4996 0.0000
6.2468 2.4996 0.0000
-3.1240 0.0000 9.2712
Ba Cd Au
3 4 2
Direct
0.0000 0.0000 0.0000
0.3270 0.3270 0.3437
0.6730 0.6730 0.6563
0.0448 0.0448 0.3764
0.2763 0.2763 0.9386
0.7237 0.7237 0.0614
0.9552 0.9552 0.6236
0.3936 0.3936 0.7271
0.6064 0.6064 0.2729
```

Starting from the PBE geometry in Alexandria, the powder X-ray diffraction pattern of Tm4PdI5 was computed for Cu Kα, 1.54184 Å.

Top 12 peaks for 2θ = 5–70°, low angle first:
| d/Å | Position (°2θ) | I_rel |
| --- | --- | --- |
| 9.517 | 9.3 | 16 |
| 8.651 | 10.2 | 44 |
| 3.335 | 26.7 | 11 |
| 3.172 | 28.1 | 49 |
| 3.009 | 29.7 | 100 |
| 2.793 | 32.1 | 16 |
| 2.394 | 37.6 | 11 |
| 2.211 | 40.8 | 16 |
| 2.197 | 41.1 | 33 |
| 2.170 | 41.6 | 29 |
| 2.053 | 44.1 | 18 |
| 1.724 | 53.1 | 17 |

```
Tm4PdI5
1.0
9.7320 -2.0531 0.0000
9.7320 2.0531 0.0000
-1.8503 0.0000 8.6509
Tm Pd I
4 1 5
Direct
0.0014 0.0014 0.2035
0.3578 0.3578 0.9276
0.6422 0.6422 0.0724
0.9986 0.9986 0.7965
0.5000 0.5000 0.0000
0.1684 0.1684 0.3408
0.1802 0.1802 0.8342
0.5000 0.5000 0.5000
0.8198 0.8198 0.1658
0.8316 0.8316 0.6592
```